Starting from a crystal structure in Alexandria, relaxed with GGA-PBE, the X-ray diffraction stick pattern of Pr4Nd5Tl4 was calculated for Cu Kα X-rays.
Lines closer than 0.1° are merged.

Top 12 peaks for 2θ = 10–90°, low angle first:
| d_spacing | I/Imax |
| --- | --- |
| 2.927 | 100 |
| 2.833 | 10 |
| 2.657 | 14 |
| 2.644 | 24 |
| 2.485 | 17 |
| 1.933 | 7 |
| 1.811 | 13 |
| 1.792 | 7 |
| 1.576 | 16 |
| 1.506 | 8 |
| 1.483 | 7 |
| 1.428 | 7 |

Cell and atoms:
```
13
Lattice="-6.335 6.335 2.644 6.335 -6.335 2.644 6.335 6.335 -2.644" Properties=species:S:1:pos:R:3 pbc="T T T"
Pr 7.799 1.182 0.000
Pr 1.182 4.870 0.000
Pr 5.153 1.465 2.644
Pr -1.465 5.153 2.644
Nd 0.000 0.000 0.000
Nd 5.080 3.937 0.000
Nd 2.398 -1.254 2.644
Nd 3.937 7.589 0.000
Nd 1.254 2.398 2.644
Tl 2.916 1.400 0.000
Tl 4.935 -3.419 2.644
Tl 1.400 9.753 0.000
Tl 3.419 4.935 2.644
```